Diffraction record for SrCuBiO4. The powder diffraction line list is calculated, not measured: it uses DFT lattice parameters and positions (PBE) and Cu Kα (λ = 1.5418 Å).

Structure:
Unit cell a=3.598 b=3.598 c=33.319 alpha=90.00 beta=90.00 gamma=90.00
Space group I4/mmm (No. 139)
Symmetry-distinct sites (fractional):
Sr: 0.000 0.000 0.107
Cu: 0.000 0.000 0.459
Bi: 0.000 0.000 0.303
O: 0.000 0.000 0.198
O: 0.000 0.000 0.364
O: 0.000 0.500 0.054

Most intense lines, 2θ = 10–80°, in order of rising 2θ:
(0 0 8), 2θ = 21.33°, intensity 22; (0 0 10), 2θ = 26.76°, intensity 13; (1 0 5), 2θ = 28.19°, intensity 100; (1 0 7), 2θ = 31.16°, intensity 19; (0 0 12), 2θ = 32.24°, intensity 16; (1 1 0), 2θ = 35.28°, intensity 46; (1 0 13), 2θ = 43.35°, intensity 12; (1 1 10), 2θ = 44.82°, intensity 24; (1 0 15), 2θ = 48.14°, intensity 14; (1 1 12), 2θ = 48.54°, intensity 15; (2 0 0), 2θ = 50.75°, intensity 22; (2 1 5), 2θ = 59.06°, intensity 27

---

Diffraction record for Sr2TmCu2Bi2O8. The powder diffraction line list is calculated, not measured: it uses DFT lattice parameters and positions (PBE) and Cu Kα (λ = 1.5418 Å).

Structure:
Unit cell a=3.763 b=3.763 c=30.370 alpha=90.00 beta=90.00 gamma=90.00
Space group I4/mmm (No. 139)
Symmetry-distinct sites (fractional):
Sr: 0.000 0.000 0.115
Tm: 0.000 0.000 0.000
Cu: 0.000 0.000 0.447
Bi: 0.000 0.000 0.295
O: 0.000 0.000 0.203
O: 0.000 0.000 0.365
O: 0.000 0.500 0.047

Most intense lines, 2θ = 10–80°, in order of rising 2θ:
(0 0 4), 2θ = 11.66°, intensity 27; (1 0 3), 2θ = 25.25°, intensity 38; (1 0 5), 2θ = 27.89°, intensity 37; (0 0 10), 2θ = 29.41°, intensity 16; (1 0 7), 2θ = 31.47°, intensity 100; (1 1 0), 2θ = 33.69°, intensity 82; (1 0 9), 2θ = 35.75°, intensity 15; (1 1 10), 2θ = 45.31°, intensity 32; (2 0 0), 2θ = 48.38°, intensity 38; (1 0 17), 2θ = 57.07°, intensity 18; (2 1 7), 2θ = 58.86°, intensity 36; (2 1 17), 2θ = 78.00°, intensity 18